Calculated X-ray powder pattern
Compound: MgTe4MoW2S2
Radiation: Cu Kα (weighted mean of Kα1 and Kα2)
Structure: a PBE-relaxed structure
No peak broadening, texture or thermal motion is included.

Top 10 peaks for 2θ from 10° to 90°, low angle first:
Position (°2θ), d [Å], I/Imax, index
11.6, 7.618, 66, 0 0 5
30.3, 2.951, 75, 1 0 0
31.7, 2.820, 38, 0 1 4
33.5, 2.677, 56, 1 0 6
34.6, 2.595, 61, 0 1 7
37.1, 2.422, 30, 0 1 9
38.6, 2.334, 55, 1 0 10
40.1, 2.247, 100, 1 0 11
53.8, 1.704, 50, 1 1 0
69.2, 1.358, 33, 0 2 11

Structural model:
Lattice parameters (Å, degrees): 3.4095 3.4095 38.0921 90.00 90.00 120.00
Sites, in units of the cell vectors:
1 Mg 0.0000 0.0000 0.0000
2 Te 0.6667 0.3333 0.2923
3 Te 0.6667 0.3333 0.3909
4 Te 0.6667 0.3333 0.8240
5 Te 0.6667 0.3333 0.9225
6 Mo 0.3333 0.6667 0.8731
7 W 0.3333 0.6667 0.3416
8 W 0.6667 0.3333 0.1198
9 S 0.3333 0.6667 0.0803
10 S 0.3333 0.6667 0.1591